Simulated powder diffractogram of Li5V5O9F for CuKα, from a PBE+U-relaxed structure.

Atomic structure:
Unit cell a=5.197 b=5.267 c=7.956 alpha=102.98 beta=109.06 gamma=99.31
Fractional positions:
Li (0.000, 0.000, 0.000)
Li (0.167, 0.595, 0.189)
Li (0.399, 0.164, 0.411)
Li (0.606, 0.799, 0.623)
Li (0.795, 0.392, 0.799)
V (0.014, 0.493, 0.508)
V (0.197, 0.088, 0.701)
V (0.399, 0.688, 0.905)
V (0.593, 0.283, 0.095)
V (0.803, 0.912, 0.300)
O (0.016, 0.736, 0.747)
O (0.186, 0.836, 0.461)
O (0.214, 0.334, 0.947)
O (0.390, 0.441, 0.661)
O (0.400, 0.948, 0.142)
O (0.578, 0.034, 0.852)
O (0.771, 0.627, 0.053)
O (0.823, 0.160, 0.556)
O (0.983, 0.266, 0.256)
F (0.602, 0.547, 0.353)

The 10 most intense peaks (2θ = 10–80°), in order of falling intensity:
2θ = 18.09°, d = 4.903 Å, intensity 100
2θ = 42.55°, d = 2.124 Å, intensity 62
2θ = 42.06°, d = 2.148 Å, intensity 32
2θ = 34.94°, d = 2.568 Å, intensity 29
2θ = 61.14°, d = 1.516 Å, intensity 17
2θ = 61.75°, d = 1.502 Å, intensity 17
2θ = 61.60°, d = 1.506 Å, intensity 16
2θ = 34.56°, d = 2.596 Å, intensity 14
2θ = 46.44°, d = 1.955 Å, intensity 14
2θ = 56.31°, d = 1.634 Å, intensity 11